1.
Calculated powder X-ray diffraction pattern
Compound: Y3Ir
Radiation: Cu Kα (λ = 1.5418 Å)
Structure: DFT lattice parameters and positions (GGA-PBE)

The 6 most intense peaks (2θ from 10° to 90°), in order of rising 2θ:
- (1 0 1), 18.40 deg, rel. 69
- (1 1 1), 20.76 deg, rel. 92
- (1 1 2), 31.91 deg, rel. 100
- (2 2 1), 34.27 deg, rel. 67
- (1 3 1), 34.47 deg, rel. 100
- (2 3 0), 38.19 deg, rel. 70

Cell and atoms:
a b c (Å): 7.286 9.272 6.432
angles (deg): 90.00 90.00 90.00
Space group Pnma (No. 62)
Inequivalent atoms, fractional coordinates:
1 Y 0.036 0.250 0.131 [4 per cell]
2 Y 0.177 0.063 0.672 [8 per cell]
3 Ir 0.117 0.750 0.457 [4 per cell]

2.
Calculated powder X-ray diffraction pattern
Compound: ZnIr
Radiation: Cu Kα (λ = 1.5418 Å)
Structure: DFT lattice parameters and positions (GGA-PBE)

The 6 most intense peaks (2θ from 10° to 90°), in order of rising 2θ:
- (0 0 1), 21.25 deg, rel. 25
- (1 0 0), 36.91 deg, rel. 38
- (1 0 1), 42.98 deg, rel. 100
- (0 0 2), 43.28 deg, rel. 20
- (1 0 2), 58.16 deg, rel. 21
- (1 1 2), 82.72 deg, rel. 19

Cell and atoms:
a b c (Å): 2.8121 2.8121 4.1809
angles (deg): 90.00 90.00 120.00
Space group P-6m2 (No. 187)
Inequivalent atoms, fractional coordinates:
1 Zn 0.0000 0.0000 0.0000 [1 per cell]
2 Ir 0.3333 0.6667 0.5000 [1 per cell]

3.
Calculated powder X-ray diffraction pattern
Compound: ZrIr
Radiation: Cu Kα (λ = 1.5418 Å)
Structure: DFT lattice parameters and positions (GGA-PBE)

The 6 most intense peaks (2θ from 10° to 90°), in order of rising 2θ:
- (0 4 1), 27.16 deg, rel. 20
- (1 3 1), 35.86 deg, rel. 64
- (0 8 0), 36.23 deg, rel. 37
- (1 5 1), 40.35 deg, rel. 100
- (0 0 2), 41.22 deg, rel. 39
- (0 8 2), 56.02 deg, rel. 21

Cell and atoms:
a b c (Å): 3.440 19.835 4.381
angles (deg): 90.00 90.00 90.00
Space group Cmcm (No. 63)
Inequivalent atoms, fractional coordinates:
1 Zr 0.000 0.061 0.250 [4 per cell]
2 Zr 0.000 0.195 0.750 [4 per cell]
3 Ir 0.000 0.332 0.750 [4 per cell]
4 Ir 0.000 0.443 0.250 [4 per cell]